Theoretical powder XRD pattern
Compound: Ce6Tl2Cd
Radiation: Cu Kα (weighted mean of Kα1 and Kα2)
Structure: a DFT-relaxed cell (PBE, Alexandria)

Largest 6 diffraction maxima, by angle, 15° ≤ 2θ ≤ 90°:
(hkl), d [Å], 2θ/deg, Rel. int.
3 0 0, 2.653, 33.8, 100
1 1 1, 2.578, 34.8, 88
2 2 1, 1.849, 49.3, 33
3 3 0, 1.532, 60.4, 18
4 1 1, 1.517, 61.1, 34
3 0 2, 1.343, 70.1, 24

Atomic structure:
```
data_Ce6Tl2Cd
_chemical_formula_sum 'Ce6 Tl2 Cd1'
_space_group_name_H-M_alt 'P 6/m m m'
_space_group_IT_number 191
_space_group_name_Hall '-P 6 2'
_cell_length_a 9.1896
_cell_length_b 9.1896
_cell_length_c 3.1145
_cell_angle_alpha 90.00
_cell_angle_beta 90.00
_cell_angle_gamma 120.00
loop_
_atom_site_label
_atom_site_fract_x
_atom_site_fract_y
_atom_site_fract_z
Ce1 0.0000 0.3268 0.0000
Tl1 0.3333 0.6667 0.5000
Cd1 0.0000 0.0000 0.5000
```